Diffraction record for BaSm5Al3Si9N20O. The XRD peak list is theoretical, not measured: it uses the GGA-PBE geometry in the Materials Project and CuKα.

Crystal structure
```
data_BaSm5Al3Si9N20O
_symmetry_space_group_name_H-M 'P 1'
_symmetry_Int_Tables_number 1
_cell_length_a 6.0730
_cell_length_b 9.5626
_cell_length_c 9.6527
_cell_angle_alpha 60.85
_cell_angle_beta 89.91
_cell_angle_gamma 89.95
loop_
_symmetry_equiv_pos_as_xyz
'x,y,z'
loop_
_atom_site_label
_atom_site_type_symbol
_atom_site_fract_x
_atom_site_fract_y
_atom_site_fract_z
Ba1 Ba 0.0000 0.0000 0.0000
Sm1 Sm 0.4961 0.3261 0.3326
Sm2 Sm 0.4984 0.2397 0.7602
Sm3 Sm 0.4986 0.7508 0.9989
Sm4 Sm 0.5013 0.9955 0.2476
Sm5 Sm 0.5060 0.6591 0.6744
Al1 Al 0.0153 0.4610 0.7187
Al2 Al 0.0159 0.7133 0.8208
Al3 Al 0.9859 0.1734 0.2856
Si1 Si 0.0181 0.8050 0.4789
Si2 Si 0.2502 0.5994 0.3864
Si3 Si 0.2543 0.0075 0.6068
Si4 Si 0.2568 0.3755 0.0165
Si5 Si 0.7410 0.3882 0.9924
Si6 Si 0.7453 0.9855 0.6169
Si7 Si 0.7475 0.6087 0.3971
Si8 Si 0.9838 0.5227 0.1883
Si9 Si 0.9845 0.2839 0.5253
N1 N 0.0010 0.9872 0.4946
N2 N 0.1043 0.6655 0.6646
N3 N 0.2086 0.7947 0.3489
N4 N 0.2230 0.3338 0.8637
N5 N 0.2252 0.8629 0.8021
N6 N 0.2445 0.2034 0.5726
N7 N 0.2442 0.5726 0.2213
N8 N 0.2629 0.2120 0.2027
N9 N 0.4981 0.4833 0.0046
N10 N 0.4982 0.5122 0.4831
N11 N 0.5006 0.0008 0.5133
N12 N 0.7377 0.4152 0.8028
N13 N 0.7384 0.8007 0.7828
N14 N 0.7562 0.7719 0.4290
N15 N 0.7718 0.1943 0.1428
N16 N 0.7856 0.6467 0.2023
N17 N 0.7868 0.1500 0.6460
N18 N 0.9058 0.3322 0.3349
N19 N 0.9973 0.4802 0.5091
N20 N 0.9968 0.5029 0.0110
O1 O 0.5073 0.9951 0.0027
```

Largest 10 diffraction maxima, by angle, 10° ≤ 2θ ≤ 90°:
two_theta  d [Å]  I/Imax  (hkl)
14.59  6.073  64  1 0 0
25.73  3.463  28  1 0 2
25.89  3.441  24  1 2 0
29.42  3.036  47  2 0 0
31.69  2.824  40  1 -1 2
31.82  2.812  100  1 2 -1
32.06  2.792  63  -1 2 3
32.17  2.782  76  -1 3 2
34.85  2.575  54  2 -1 1
34.98  2.565  55  2 2 1



Diffraction record for GdPd3. The XRD peak list is theoretical, not measured: it uses the GGA-PBE geometry in the Materials Project and CuKα.

Crystal structure
```
data_GdPd3
_symmetry_space_group_name_H-M 'P m -3 m'
_symmetry_Int_Tables_number 221
_symmetry_space_group_name_Hall '-P 4 2 3'
_cell_length_a 4.1602
_cell_length_b 4.1602
_cell_length_c 4.1602
_cell_angle_alpha 90.00
_cell_angle_beta 90.00
_cell_angle_gamma 90.00
loop_
_atom_site_label
_atom_site_type_symbol
_atom_site_fract_x
_atom_site_fract_y
_atom_site_fract_z
Gd1 Gd 0.0000 0.0000 0.0000
Pd1 Pd 0.0000 0.5000 0.5000
```

Largest 10 diffraction maxima, by angle, 10° ≤ 2θ ≤ 90°:
two_theta  d [Å]  I/Imax  (hkl)
21.36  4.160  3  1 0 0
30.39  2.942  2  1 1 0
37.44  2.402  100  1 1 1
43.51  2.080  49  2 0 0
48.96  1.861  1  2 1 0
53.99  1.698  1  2 1 1
63.22  1.471  32  2 2 0
67.55  1.387  1  3 0 0
75.84  1.254  37  3 1 1
79.87  1.201  11  2 2 2



Diffraction record for La6Fe13Pb. The XRD peak list is theoretical, not measured: it uses the GGA-PBE geometry in the Materials Project and CuKα.

Crystal structure
```
data_La6Fe13Pb
_symmetry_space_group_name_H-M 'I 4/m c m'
_symmetry_Int_Tables_number 140
_symmetry_space_group_name_Hall '-I 4 2c'
_cell_length_a 8.0765
_cell_length_b 8.0765
_cell_length_c 23.9570
_cell_angle_alpha 90.00
_cell_angle_beta 90.00
_cell_angle_gamma 90.00
loop_
_atom_site_label
_atom_site_type_symbol
_atom_site_fract_x
_atom_site_fract_y
_atom_site_fract_z
La1 La 0.0000 0.0000 0.1041
La2 La 0.1625 0.3375 0.1823
Fe1 Fe 0.0000 0.5000 0.0000
Fe2 Fe 0.0669 0.2104 0.5000
Fe3 Fe 0.1131 0.3869 0.4091
Fe4 Fe 0.1781 0.3219 0.0571
Pb1 Pb 0.0000 0.0000 0.2500
```

Largest 10 diffraction maxima, by angle, 10° ≤ 2θ ≤ 90°:
two_theta  d [Å]  I/Imax  (hkl)
27.10  3.291  73  2 1 3
27.25  3.272  38  1 1 6
31.01  2.884  64  2 1 5
31.33  2.855  36  2 2 0
31.51  2.839  52  2 0 6
33.80  2.652  47  1 1 8
35.14  2.554  100  3 1 0
37.39  2.405  68  2 0 8
42.17  2.143  52  2 1 9
46.52  1.952  37  4 1 1



Diffraction record for BaTiAs2O8. The XRD peak list is theoretical, not measured: it uses the GGA-PBE geometry in the Materials Project and CuKα.

Crystal structure
```
data_BaTiAs2O8
_symmetry_space_group_name_H-M 'C 1 2/m 1'
_symmetry_Int_Tables_number 12
_cell_length_a 8.6106
_cell_length_b 5.5097
_cell_length_c 7.9914
_cell_angle_alpha 90.00
_cell_angle_beta 93.21
_cell_angle_gamma 90.00
loop_
_symmetry_equiv_pos_as_xyz
'x,y,z'
'-x,-y,-z'
'-x,y,-z'
'x,-y,z'
'x+1/2,y+1/2,z'
'-x+1/2,-y+1/2,-z'
'-x+1/2,y+1/2,-z'
'x+1/2,-y+1/2,z'
loop_
_atom_site_label
_atom_site_type_symbol
_atom_site_fract_x
_atom_site_fract_y
_atom_site_fract_z
Ba1 Ba 0.0000 0.0000 0.0000
Ti1 Ti 0.0000 0.0000 0.5000
As1 As 0.1360 0.5000 0.2972
O1 O 0.0201 0.2466 0.3201
O2 O 0.1936 0.5000 0.0983
O3 O 0.2204 0.0000 0.5459
```

Largest 10 diffraction maxima, by angle, 10° ≤ 2θ ≤ 90°:
two_theta  d [Å]  I/Imax  (hkl)
20.66  4.299  31  2 0 0
22.46  3.959  100  1 1 1
22.94  3.876  50  2 0 -1
29.08  3.071  94  1 1 -2
29.98  2.981  38  1 1 2
32.50  2.755  39  0 2 0
35.30  2.542  57  3 1 0
40.16  2.245  28  2 2 -1
55.92  1.644  21  1 3 -2
60.27  1.535  26  4 2 2



Diffraction record for Nd3CuSnSe7. The XRD peak list is theoretical, not measured: it uses the GGA-PBE geometry in the Materials Project and CuKα.

Crystal structure
```
data_Nd3CuSnSe7
_symmetry_space_group_name_H-M 'P 63'
_symmetry_Int_Tables_number 173
_cell_length_a 10.6180
_cell_length_b 10.6180
_cell_length_c 6.3903
_cell_angle_alpha 90.00
_cell_angle_beta 90.00
_cell_angle_gamma 120.00
loop_
_symmetry_equiv_pos_as_xyz
'x,y,z'
'x-y,x,z+1/2'
'-y,x-y,z'
'-x,-y,z+1/2'
'-x+y,-x,z'
'y,-x+y,z+1/2'
loop_
_atom_site_label
_atom_site_type_symbol
_atom_site_fract_x
_atom_site_fract_y
_atom_site_fract_z
Nd1 Nd 0.1385 0.7828 0.0000
Cu1 Cu 0.0000 0.0000 0.0559
Sn1 Sn 0.3333 0.6667 0.4233
Se1 Se 0.0837 0.5138 0.2486
Se2 Se 0.1029 0.8450 0.5409
Se3 Se 0.3333 0.6667 0.8190
```

Largest 10 diffraction maxima, by angle, 10° ≤ 2θ ≤ 90°:
two_theta  d [Å]  I/Imax  (hkl)
23.84  3.732  58  2 0 1
29.25  3.053  44  2 1 1
29.60  3.018  51  1 0 2
32.39  2.764  38  3 0 1
33.77  2.655  100  2 2 0
34.17  2.624  59  2 0 2
35.19  2.550  36  3 1 0
37.99  2.369  26  1 3 1
38.26  2.352  37  2 1 2
44.37  2.042  29  2 2 2



Diffraction record for Mg2Si. The XRD peak list is theoretical, not measured: it uses the GGA-PBE geometry in the Materials Project and CuKα.

Crystal structure
```
data_Mg2Si
_symmetry_space_group_name_H-M 'P 1'
_symmetry_Int_Tables_number 1
_cell_length_a 6.2991
_cell_length_b 6.5895
_cell_length_c 7.2651
_cell_angle_alpha 67.37
_cell_angle_beta 75.62
_cell_angle_gamma 63.60
loop_
_symmetry_equiv_pos_as_xyz
'x,y,z'
loop_
_atom_site_label
_atom_site_type_symbol
_atom_site_fract_x
_atom_site_fract_y
_atom_site_fract_z
Mg1 Mg 0.0000 0.0000 0.0000
Mg2 Mg 0.0155 0.4119 0.1704
Mg3 Mg 0.2032 0.6777 0.7319
Mg4 Mg 0.3131 0.1213 0.5982
Mg5 Mg 0.4673 0.9003 0.2484
Mg6 Mg 0.5319 0.4425 0.0971
Mg7 Mg 0.8132 0.5140 0.6600
Mg8 Mg 0.8433 0.0149 0.4430
Si1 Si 0.1582 0.6179 0.3604
Si2 Si 0.5368 0.2192 0.8493
Si3 Si 0.5495 0.4357 0.4802
Si4 Si 0.7186 0.7974 0.8855
```

Largest 10 diffraction maxima, by angle, 10° ≤ 2θ ≤ 90°:
two_theta  d [Å]  I/Imax  (hkl)
33.43  2.680  39  2 0 1
35.29  2.543  100  -1 1 2
35.59  2.522  39  2 2 2
35.76  2.511  50  2 1 -1
37.33  2.409  43  1 1 -2
37.62  2.391  43  1 1 3
38.57  2.334  58  0 2 -1
40.58  2.223  30  -1 2 1
41.23  2.190  45  2 -1 0
42.65  2.120  43  1 3 2



Diffraction record for MgCu3O4. The XRD peak list is theoretical, not measured: it uses the GGA-PBE geometry in the Materials Project and CuKα.

Crystal structure
```
data_MgCu3O4
_symmetry_space_group_name_H-M 'P m m 2'
_symmetry_Int_Tables_number 25
_cell_length_a 4.0289
_cell_length_b 18.6547
_cell_length_c 3.2393
_cell_angle_alpha 90.00
_cell_angle_beta 90.00
_cell_angle_gamma 90.00
loop_
_symmetry_equiv_pos_as_xyz
'x,y,z'
'-x,-y,z'
'-x,y,z'
'x,-y,z'
loop_
_atom_site_label
_atom_site_type_symbol
_atom_site_fract_x
_atom_site_fract_y
_atom_site_fract_z
Mg1 Mg 0.0000 0.0000 0.0000
Mg2 Mg 0.5000 0.2500 0.7198
Cu1 Cu 0.0000 0.1677 0.1823
Cu2 Cu 0.0000 0.3326 0.1729
Cu3 Cu 0.0000 0.5000 0.0126
Cu4 Cu 0.5000 0.0823 0.5368
Cu5 Cu 0.5000 0.4174 0.5420
O1 O 0.0000 0.0774 0.4872
O2 O 0.0000 0.2492 0.8234
O3 O 0.0000 0.4204 0.4934
O4 O 0.5000 0.0000 0.8905
O5 O 0.5000 0.1725 0.2324
O6 O 0.5000 0.3279 0.2397
O7 O 0.5000 0.5000 0.8813
```

Largest 10 diffraction maxima, by angle, 10° ≤ 2θ ≤ 90°:
two_theta  d [Å]  I/Imax  (hkl)
29.18  3.060  16  0 2 1
33.69  2.661  30  0 4 1
35.56  2.525  71  1 0 1
36.50  2.461  65  1 6 0
40.20  2.243  100  0 6 1
45.00  2.014  54  2 0 0
59.46  1.555  21  0 12 0
61.91  1.499  51  2 6 1
71.24  1.324  18  1 12 1
77.57  1.231  18  2 12 0



Diffraction record for HfS. The XRD peak list is theoretical, not measured: it uses the GGA-PBE geometry in the Materials Project and CuKα.

Crystal structure
```
data_HfS
_symmetry_space_group_name_H-M 'P -6 m 2'
_symmetry_Int_Tables_number 187
_symmetry_space_group_name_Hall 'P -6 2'
_cell_length_a 3.3935
_cell_length_b 3.3935
_cell_length_c 3.4451
_cell_angle_alpha 90.00
_cell_angle_beta 90.00
_cell_angle_gamma 120.00
loop_
_atom_site_label
_atom_site_type_symbol
_atom_site_fract_x
_atom_site_fract_y
_atom_site_fract_z
Hf1 Hf 0.0000 0.0000 0.0000
S1 S 0.6667 0.3333 0.5000
```

Largest 10 diffraction maxima, by angle, 10° ≤ 2θ ≤ 90°:
two_theta  d [Å]  I/Imax  (hkl)
25.86  3.445  28  0 0 1
30.42  2.939  74  1 0 0
40.34  2.236  100  1 0 1
53.17  1.723  9  0 0 2
54.05  1.697  24  1 1 0
60.86  1.522  17  1 1 1
62.50  1.486  20  1 0 2
63.29  1.469  9  2 0 0
69.55  1.352  20  2 0 1
79.25  1.209  16  1 1 2